This entry pairs a crystal structure of Cu with its computed powder X-ray diffraction pattern. Radiation: Cu Ka. Structure: a DFT-relaxed cell (GGA-PBE, the Materials Project).
Peak positions follow from Bragg's law for the DFT cell and can differ from measured ones.

Principal peaks in the range 2θ from 10° to 90°, most intense first:
2θ/deg	Rel. int.
42.43	100
38.24	61
53.27	55
50.48	39
45.42	39
81.32	20
63.32	19
81.84	11
87.93	9
75.48	8

```
Cu
1.0
1.232 -3.994 0.000
1.232 3.994 0.000
0.000 0.000 2.519
Cu
2
Cartesian
1.232 2.923 1.889
1.232 -2.923 0.630
```